Entry 1:
Computed X-ray diffraction stick pattern
Compound: BaSrI
Radiation: a wavelength of 1.5418 Å
Structure: a crystal structure in Alexandria, relaxed with GGA-PBE
Neutral-atom scattering factors, no anomalous dispersion.

```
BaSrI
1.0
4.467 0.000 0.000
-2.234 3.869 0.000
0.000 0.000 8.565
Ba Sr I
1 1 1
Direct
0.000 0.000 0.000
0.333 0.667 0.595
0.667 0.333 0.305
```

Main lines, in order of rising 2θ (10 to 80 degrees two-theta):
25.26 deg, intensity 100
31.15 deg, intensity 58
31.33 deg, intensity 15
40.38 deg, intensity 29
48.23 deg, intensity 17
51.98 deg, intensity 21

=====

Entry 2:
Computed X-ray diffraction stick pattern
Compound: Ba4Sr6I19
Radiation: a wavelength of 1.5418 Å
Structure: a crystal structure in Alexandria, relaxed with GGA-PBE
Neutral-atom scattering factors, no anomalous dispersion.

```
Ba4Sr6I19
1.0
-7.164 7.164 7.164
7.164 -7.164 7.164
7.164 7.164 -7.164
Ba Sr I
4 6 19
Direct
0.000 0.000 0.286
0.000 0.286 0.000
0.286 0.000 0.000
0.714 0.714 0.714
0.155 0.500 0.655
0.345 0.845 0.500
0.500 0.345 0.845
0.500 0.655 0.155
0.655 0.155 0.500
0.845 0.500 0.345
0.000 0.000 0.000
0.000 0.315 0.315
0.000 0.685 0.685
0.040 0.789 0.399
0.211 0.251 0.610
0.251 0.610 0.211
0.315 0.000 0.315
0.315 0.315 0.000
0.359 0.749 0.960
0.390 0.641 0.601
0.399 0.040 0.789
0.601 0.390 0.641
0.610 0.211 0.251
0.641 0.601 0.390
0.685 0.000 0.685
0.685 0.685 0.000
0.749 0.960 0.359
0.789 0.399 0.040
0.960 0.359 0.749
```

Main lines, in order of rising 2θ (10 to 80 degrees two-theta):
15.15 deg, intensity 36
21.48 deg, intensity 28
26.39 deg, intensity 100
31.85 deg, intensity 63
34.28 deg, intensity 32
50.13 deg, intensity 26

=====

Entry 3:
Computed X-ray diffraction stick pattern
Compound: BaSr2I6
Radiation: a wavelength of 1.5418 Å
Structure: a crystal structure in Alexandria, relaxed with GGA-PBE
Neutral-atom scattering factors, no anomalous dispersion.

```
BaSr2I6
1.0
14.586 0.000 0.000
-7.293 12.632 0.000
0.000 0.000 7.411
Ba Sr I
3 6 18
Direct
0.000 0.000 0.000
0.333 0.667 0.499
0.667 0.333 0.501
0.000 0.317 0.500
0.000 0.652 0.000
0.317 0.000 0.500
0.348 0.348 0.000
0.652 0.000 0.000
0.683 0.683 0.500
0.101 0.870 0.749
0.103 0.536 0.751
0.130 0.231 0.749
0.216 0.436 0.245
0.221 0.784 0.245
0.231 0.130 0.251
0.433 0.897 0.751
0.436 0.216 0.755
0.464 0.567 0.751
0.536 0.103 0.249
0.564 0.779 0.245
0.567 0.464 0.249
0.769 0.899 0.749
0.779 0.564 0.755
0.784 0.221 0.755
0.870 0.101 0.251
0.897 0.433 0.249
0.899 0.769 0.251
```

Main lines, in order of rising 2θ (10 to 80 degrees two-theta):
24.31 deg, intensity 100
32.18 deg, intensity 53
36.98 deg, intensity 39
42.42 deg, intensity 22
44.75 deg, intensity 16
63.09 deg, intensity 16

=====

Entry 4:
Computed X-ray diffraction stick pattern
Compound: Ba9Te2I14
Radiation: a wavelength of 1.5418 Å
Structure: a crystal structure in Alexandria, relaxed with GGA-PBE
Neutral-atom scattering factors, no anomalous dispersion.

```
Ba9Te2I14
1.0
10.266 0.000 0.000
-5.133 8.890 0.000
0.000 0.000 14.164
Ba Te I
9 2 14
Direct
0.000 0.000 0.000
0.055 0.347 0.343
0.292 0.945 0.343
0.333 0.667 0.026
0.347 0.292 0.657
0.653 0.708 0.343
0.667 0.333 0.974
0.708 0.055 0.657
0.945 0.653 0.657
0.333 0.667 0.259
0.667 0.333 0.741
0.000 0.000 0.256
0.000 0.000 0.744
0.036 0.683 0.907
0.067 0.385 0.594
0.317 0.353 0.907
0.318 0.933 0.594
0.353 0.036 0.093
0.385 0.318 0.406
0.615 0.682 0.594
0.647 0.964 0.907
0.682 0.067 0.406
0.683 0.647 0.093
0.933 0.615 0.406
0.964 0.317 0.093
```

Main lines, in order of rising 2θ (10 to 80 degrees two-theta):
18.38 deg, intensity 49
21.36 deg, intensity 28
27.28 deg, intensity 37
30.16 deg, intensity 86
30.67 deg, intensity 100
43.55 deg, intensity 26

=====

Entry 5:
Computed X-ray diffraction stick pattern
Compound: Ba2TlI5
Radiation: a wavelength of 1.5418 Å
Structure: a crystal structure in Alexandria, relaxed with GGA-PBE
Neutral-atom scattering factors, no anomalous dispersion.

```
Ba2TlI5
1.0
15.295 0.000 0.000
0.000 10.142 0.000
0.000 0.000 9.235
Ba Tl I
8 4 20
Direct
0.178 0.000 0.021
0.178 0.500 0.021
0.322 0.000 0.521
0.322 0.500 0.521
0.678 0.000 0.479
0.678 0.500 0.479
0.822 0.000 0.979
0.822 0.500 0.979
0.005 0.250 0.557
0.495 0.750 0.057
0.505 0.250 0.943
0.995 0.750 0.443
0.001 0.250 0.974
0.111 0.531 0.665
0.111 0.969 0.665
0.186 0.250 0.320
0.213 0.750 0.302
0.287 0.250 0.802
0.314 0.750 0.820
0.389 0.031 0.165
0.389 0.469 0.165
0.499 0.750 0.474
0.501 0.250 0.526
0.611 0.531 0.835
0.611 0.969 0.835
0.686 0.250 0.180
0.713 0.750 0.198
0.787 0.250 0.698
0.814 0.750 0.680
0.889 0.031 0.335
0.889 0.469 0.335
0.999 0.750 0.026
```

Main lines, in order of rising 2θ (10 to 80 degrees two-theta):
23.14 deg, intensity 44
26.75 deg, intensity 57
28.63 deg, intensity 100
29.25 deg, intensity 61
35.40 deg, intensity 42
35.63 deg, intensity 34

=====

Entry 6:
Computed X-ray diffraction stick pattern
Compound: BaTl5I7
Radiation: a wavelength of 1.5418 Å
Structure: a crystal structure in Alexandria, relaxed with GGA-PBE
Neutral-atom scattering factors, no anomalous dispersion.

```
BaTl5I7
1.0
4.871 0.000 0.000
0.000 29.487 0.000
-2.435 0.000 8.382
Ba Tl I
2 10 14
Direct
0.207 0.000 0.414
0.793 0.500 0.586
0.018 0.762 0.037
0.260 0.333 0.519
0.292 0.687 0.588
0.442 0.114 0.881
0.473 0.908 0.945
0.527 0.408 0.055
0.558 0.614 0.119
0.708 0.187 0.412
0.740 0.833 0.481
0.982 0.262 0.963
0.067 0.157 0.131
0.116 0.886 0.232
0.178 0.440 0.355
0.211 0.578 0.423
0.349 0.222 0.695
0.379 0.799 0.760
0.441 0.514 0.881
0.559 0.014 0.119
0.621 0.299 0.240
0.651 0.722 0.305
0.789 0.078 0.577
0.822 0.940 0.645
0.884 0.386 0.768
0.933 0.657 0.869
```

Main lines, in order of rising 2θ (10 to 80 degrees two-theta):
23.64 deg, intensity 46
24.99 deg, intensity 100
25.90 deg, intensity 89
26.42 deg, intensity 46
33.39 deg, intensity 44
36.91 deg, intensity 44